# LiNiPO4
Calculated powder diffractogram, Cu Kα (λ = 1.5418 Å). Input: DFT lattice parameters and positions (PBE+U).
Neutral-atom scattering factors, no anomalous dispersion.

Crystal structure
Cell lengths 7.9834, 16.7113, 4.8395 Å; angles 90.00, 90.00, 90.00 degrees
Sites, in units of the cell vectors:
Li (0.0361, 0.0558, 0.0000)
Li (0.1229, 0.6358, 0.5233)
Li (0.3771, 0.1358, 0.0233)
Li (0.4639, 0.5558, 0.5000)
Li (0.5361, 0.4442, 0.0000)
Li (0.6229, 0.8642, 0.5233)
Li (0.8771, 0.3642, 0.0233)
Li (0.9639, 0.9442, 0.5000)
Ni (0.0808, 0.2193, 0.6760)
Ni (0.1461, 0.4479, 0.5280)
Ni (0.3539, 0.9479, 0.0280)
Ni (0.4192, 0.7193, 0.1760)
Ni (0.5808, 0.2807, 0.6760)
Ni (0.6461, 0.0521, 0.5280)
Ni (0.8539, 0.5521, 0.0280)
Ni (0.9192, 0.7807, 0.1760)
P (0.2472, 0.5619, 0.9925)
P (0.2479, 0.8269, 0.4903)
P (0.2521, 0.3269, 0.9903)
P (0.2528, 0.0619, 0.4925)
P (0.7472, 0.9381, 0.9925)
P (0.7479, 0.6731, 0.4903)
P (0.7521, 0.1731, 0.9903)
P (0.7528, 0.4381, 0.4925)
O (0.0793, 0.5415, 0.8383)
O (0.0794, 0.8515, 0.3552)
O (0.0973, 0.3551, 0.8080)
O (0.1188, 0.0137, 0.3418)
O (0.2238, 0.1524, 0.4544)
O (0.2376, 0.3588, 0.2832)
O (0.2385, 0.5437, 0.3075)
O (0.2430, 0.2344, 0.9730)
O (0.2570, 0.7344, 0.4730)
O (0.2615, 0.0437, 0.8075)
O (0.2624, 0.8588, 0.7832)
O (0.2762, 0.6524, 0.9544)
O (0.3812, 0.5137, 0.8418)
O (0.4027, 0.8551, 0.3080)
O (0.4207, 0.0415, 0.3383)
O (0.4206, 0.3515, 0.8552)
O (0.5794, 0.6485, 0.3552)
O (0.5793, 0.9585, 0.8383)
O (0.5973, 0.1449, 0.8080)
O (0.6188, 0.4863, 0.3418)
O (0.7238, 0.3476, 0.4544)
O (0.7376, 0.1412, 0.2832)
O (0.7385, 0.9563, 0.3075)
O (0.7430, 0.2656, 0.9730)
O (0.7570, 0.7656, 0.4730)
O (0.7615, 0.4563, 0.8075)
O (0.7624, 0.6412, 0.7832)
O (0.7762, 0.8476, 0.9544)
O (0.8812, 0.9863, 0.8418)
O (0.9027, 0.6449, 0.3080)
O (0.9206, 0.1485, 0.8552)
O (0.9207, 0.4585, 0.3383)

Main lines, sorted by position (2θ from 5° to 70°):
2θ (°), intensity
19.1, 875
22.9, 641
24.4, 724
26.8, 636
29.0, 1000
32.6, 681

=====

# LiNiP2O7
Calculated powder diffractogram, Cu Kα (λ = 1.5418 Å). Input: DFT lattice parameters and positions (PBE+U).
Neutral-atom scattering factors, no anomalous dispersion.

Crystal structure
Cell lengths 6.3141, 6.3141, 13.6003 Å; angles 103.02, 103.02, 80.86 degrees
Sites, in units of the cell vectors:
Li (0.2189, 0.2213, 0.3332)
Li (0.2213, 0.2189, 0.8332)
Li (0.7787, 0.7811, 0.1668)
Li (0.7811, 0.7787, 0.6668)
Ni (0.1409, 0.4158, 0.1421)
Ni (0.4158, 0.1409, 0.6421)
Ni (0.5842, 0.8591, 0.3579)
Ni (0.8591, 0.5842, 0.8579)
P (0.1268, 0.7395, 0.3655)
P (0.2605, 0.8732, 0.1345)
P (0.2665, 0.6474, 0.5858)
P (0.3526, 0.7335, 0.9142)
P (0.6474, 0.2665, 0.0858)
P (0.7335, 0.3526, 0.4142)
P (0.7395, 0.1268, 0.8655)
P (0.8732, 0.2605, 0.6345)
O (0.0805, 0.7222, 0.1155)
O (0.0971, 0.6982, 0.6552)
O (0.1108, 0.1760, 0.6730)
O (0.1293, 0.6771, 0.4738)
O (0.1760, 0.1108, 0.1730)
O (0.1919, 0.5610, 0.8804)
O (0.2044, 0.5269, 0.2964)
O (0.2778, 0.9195, 0.3845)
O (0.3018, 0.9029, 0.8448)
O (0.3229, 0.8707, 0.0262)
O (0.3664, 0.4085, 0.5780)
O (0.4085, 0.3664, 0.0780)
O (0.4390, 0.8081, 0.6196)
O (0.4731, 0.7956, 0.2036)
O (0.5269, 0.2044, 0.7964)
O (0.5610, 0.1919, 0.3804)
O (0.5915, 0.6336, 0.9220)
O (0.6336, 0.5915, 0.4220)
O (0.6771, 0.1293, 0.9738)
O (0.6982, 0.0971, 0.1552)
O (0.7222, 0.0805, 0.6155)
O (0.7956, 0.4731, 0.7036)
O (0.8081, 0.4390, 0.1196)
O (0.8240, 0.8892, 0.8270)
O (0.8707, 0.3229, 0.5262)
O (0.8892, 0.8240, 0.3270)
O (0.9029, 0.3018, 0.3448)
O (0.9195, 0.2778, 0.8845)

Main lines, sorted by position (2θ from 5° to 70°):
2θ (°), intensity
21.7, 531
21.8, 583
27.5, 1000
30.0, 810
31.4, 465
32.4, 543

=====

# LiNiPO4
Calculated powder diffractogram, Cu Kα (λ = 1.5418 Å). Input: DFT lattice parameters and positions (PBE+U).
Neutral-atom scattering factors, no anomalous dispersion.

Crystal structure
Cell lengths 4.9705, 4.9705, 15.4017 Å; angles 93.44, 93.44, 74.79 degrees
Sites, in units of the cell vectors:
Li (0.1691, 0.2861, 0.2295)
Li (0.2861, 0.1691, 0.7295)
Li (0.7139, 0.8309, 0.2705)
Li (0.8309, 0.7139, 0.7705)
Ni (0.1234, 0.5704, 0.5885)
Ni (0.4296, 0.8766, 0.9115)
Ni (0.5704, 0.1234, 0.0885)
Ni (0.8766, 0.4296, 0.4115)
P (0.2009, 0.7649, 0.3772)
P (0.2351, 0.7991, 0.1228)
P (0.7649, 0.2009, 0.8772)
P (0.7991, 0.2351, 0.6228)
O (0.0552, 0.0687, 0.3561)
O (0.0616, 0.5839, 0.3110)
O (0.0687, 0.0552, 0.8561)
O (0.1227, 0.6830, 0.4663)
O (0.2972, 0.4814, 0.1310)
O (0.3170, 0.8773, 0.0337)
O (0.4161, 0.9384, 0.1890)
O (0.4814, 0.2972, 0.6310)
O (0.5186, 0.7028, 0.3690)
O (0.5839, 0.0616, 0.8110)
O (0.6830, 0.1227, 0.9663)
O (0.7028, 0.5186, 0.8690)
O (0.8773, 0.3170, 0.5337)
O (0.9313, 0.9448, 0.1439)
O (0.9384, 0.4161, 0.6890)
O (0.9448, 0.9313, 0.6439)

Main lines, sorted by position (2θ from 5° to 70°):
2θ (°), intensity
19.1, 297
19.7, 1000
23.2, 441
26.2, 183
29.6, 276
42.6, 194

=====

# LiNiPO4
Calculated powder diffractogram, Cu Kα (λ = 1.5418 Å). Input: DFT lattice parameters and positions (PBE+U).
Neutral-atom scattering factors, no anomalous dispersion.

Crystal structure
Cell lengths 4.4856, 5.1691, 7.3873 Å; angles 90.23, 103.14, 102.11 degrees
Sites, in units of the cell vectors:
Li (0.2360, 0.2107, 0.4857)
Li (0.7640, 0.7893, 0.5143)
Ni (0.4687, 0.2599, 0.0932)
Ni (0.5313, 0.7401, 0.9068)
P (0.1457, 0.6855, 0.2360)
P (0.8543, 0.3145, 0.7640)
O (0.1479, 0.8329, 0.4167)
O (0.1951, 0.4099, 0.8830)
O (0.2971, 0.4417, 0.2845)
O (0.3335, 0.8765, 0.1157)
O (0.6665, 0.1235, 0.8843)
O (0.7029, 0.5583, 0.7155)
O (0.8049, 0.5901, 0.1170)
O (0.8521, 0.1671, 0.5833)

Main lines, sorted by position (2θ from 5° to 70°):
2θ (°), intensity
12.3, 1000
26.7, 647
29.7, 194
30.4, 241
31.9, 287
41.6, 188

=====

Number 2 is which compound? LiNiP2O7

=====

What did the fourth record say?
# LiNiPO4
Calculated powder diffractogram, Cu Kα (λ = 1.5418 Å). Input: DFT lattice parameters and positions (PBE+U).
Neutral-atom scattering factors, no anomalous dispersion.

Crystal structure
Cell lengths 4.4856, 5.1691, 7.3873 Å; angles 90.23, 103.14, 102.11 degrees
Sites, in units of the cell vectors:
Li (0.2360, 0.2107, 0.4857)
Li (0.7640, 0.7893, 0.5143)
Ni (0.4687, 0.2599, 0.0932)
Ni (0.5313, 0.7401, 0.9068)
P (0.1457, 0.6855, 0.2360)
P (0.8543, 0.3145, 0.7640)
O (0.1479, 0.8329, 0.4167)
O (0.1951, 0.4099, 0.8830)
O (0.2971, 0.4417, 0.2845)
O (0.3335, 0.8765, 0.1157)
O (0.6665, 0.1235, 0.8843)
O (0.7029, 0.5583, 0.7155)
O (0.8049, 0.5901, 0.1170)
O (0.8521, 0.1671, 0.5833)

Main lines, sorted by position (2θ from 5° to 70°):
2θ (°), intensity
12.3, 1000
26.7, 647
29.7, 194
30.4, 241
31.9, 287
41.6, 188